[1]
Diffraction record for RbLiAg2Br4. The powder X-ray diffraction pattern is calculated, not measured: it uses a cell relaxed with PBE and Cu Kα.
Kinematic intensities with the Lorentz-polarization factor, no thermal factor.

Principal peaks in the range 2θ from 10° to 90°, by intensity:
2θ = 26.2°, rel. 1000
2θ = 27.5°, rel. 733
2θ = 33.6°, rel. 648
2θ = 32.3°, rel. 519
2θ = 52.9°, rel. 435
2θ = 15.9°, rel. 335
2θ = 44.5°, rel. 221
2θ = 44.3°, rel. 195
2θ = 48.5°, rel. 188
2θ = 41.6°, rel. 187

Structural model:
```
data_RbLiAg2Br4
_chemical_formula_sum 'Rb2 Li2 Ag4 Br8'
_symmetry_space_group_name_H-M 'P 1'
_symmetry_Int_Tables_number 1
_cell_length_a 7.175
_cell_length_b 7.976
_cell_length_c 8.857
_cell_angle_alpha 90.00
_cell_angle_beta 90.00
_cell_angle_gamma 90.00
loop_
_symmetry_equiv_pos_as_xyz
'x,y,z'
loop_
_atom_site_label
_atom_site_fract_x
_atom_site_fract_y
_atom_site_fract_z
Rb1 0.000 0.000 0.000
Rb2 0.500 0.500 0.500
Li1 0.000 0.000 0.500
Li2 0.500 0.500 0.000
Ag1 0.000 0.500 0.169
Ag2 0.000 0.500 0.831
Ag3 0.500 0.000 0.331
Ag4 0.500 0.000 0.669
Br1 0.210 0.185 0.336
Br2 0.210 0.815 0.664
Br3 0.290 0.315 0.836
Br4 0.290 0.685 0.164
Br5 0.710 0.315 0.164
Br6 0.710 0.685 0.836
Br7 0.790 0.185 0.664
Br8 0.790 0.815 0.336
```

=====

[2]
Diffraction record for LiAg2SbBr6. The powder X-ray diffraction pattern is calculated, not measured: it uses a cell relaxed with PBE and Cu Kα.
Kinematic intensities with the Lorentz-polarization factor, no thermal factor.

Principal peaks in the range 2θ from 10° to 90°, by intensity:
2θ = 28.5°, rel. 1000
2θ = 37.5°, rel. 701
2θ = 43.7°, rel. 522
2θ = 17.0°, rel. 265
2θ = 23.3°, rel. 253
2θ = 49.3°, rel. 207
2θ = 34.3°, rel. 200
2θ = 58.9°, rel. 169
2θ = 42.8°, rel. 157
2θ = 15.0°, rel. 150

Structural model:
```
data_LiAg2SbBr6
_chemical_formula_sum 'Li1 Ag2 Sb1 Br6'
_symmetry_space_group_name_H-M 'P 1'
_symmetry_Int_Tables_number 1
_cell_length_a 7.175
_cell_length_b 7.177
_cell_length_c 7.667
_cell_angle_alpha 90.03
_cell_angle_beta 117.87
_cell_angle_gamma 119.97
loop_
_symmetry_equiv_pos_as_xyz
'x,y,z'
loop_
_atom_site_label
_atom_site_fract_x
_atom_site_fract_y
_atom_site_fract_z
Li1 0.000 0.000 0.000
Ag1 0.404 0.202 0.605
Ag2 0.413 0.707 0.118
Sb1 0.018 0.509 0.527
Br1 0.178 0.779 0.291
Br2 0.187 0.907 0.798
Br3 0.513 0.399 0.290
Br4 0.519 0.612 0.799
Br5 0.892 0.280 0.799
Br6 0.893 0.114 0.290
```

=====

[3]
Diffraction record for LiTlAg2Br6. The powder X-ray diffraction pattern is calculated, not measured: it uses a cell relaxed with PBE and Cu Kα.
Kinematic intensities with the Lorentz-polarization factor, no thermal factor.

Principal peaks in the range 2θ from 10° to 90°, by intensity:
2θ = 28.6°, rel. 1000
2θ = 37.7°, rel. 760
2θ = 43.8°, rel. 557
2θ = 15.0°, rel. 378
2θ = 23.4°, rel. 340
2θ = 49.6°, rel. 319
2θ = 34.4°, rel. 251
2θ = 17.0°, rel. 249
2θ = 43.0°, rel. 207
2θ = 59.1°, rel. 188

Structural model:
```
data_LiTlAg2Br6
_chemical_formula_sum 'Li1 Tl1 Ag2 Br6'
_symmetry_space_group_name_H-M 'P 1'
_symmetry_Int_Tables_number 1
_cell_length_a 7.632
_cell_length_b 7.632
_cell_length_c 7.632
_cell_angle_alpha 55.90
_cell_angle_beta 55.90
_cell_angle_gamma 55.90
loop_
_symmetry_equiv_pos_as_xyz
'x,y,z'
loop_
_atom_site_label
_atom_site_fract_x
_atom_site_fract_y
_atom_site_fract_z
Li1 0.000 0.000 0.000
Tl1 0.485 0.485 0.485
Ag1 0.284 0.284 0.284
Ag2 0.789 0.789 0.789
Br1 0.083 0.706 0.381
Br2 0.211 0.590 0.878
Br3 0.381 0.083 0.706
Br4 0.590 0.878 0.211
Br5 0.706 0.381 0.083
Br6 0.878 0.211 0.590
```

=====

[4]
Diffraction record for Mg2AgBr. The powder X-ray diffraction pattern is calculated, not measured: it uses a cell relaxed with PBE and Cu Kα.
Kinematic intensities with the Lorentz-polarization factor, no thermal factor.

Principal peaks in the range 2θ from 10° to 90°, by intensity:
2θ = 22.3°, rel. 1000
2θ = 38.9°, rel. 927
2θ = 27.8°, rel. 839
2θ = 27.6°, rel. 797
2θ = 37.5°, rel. 762
2θ = 27.1°, rel. 683
2θ = 31.5°, rel. 670
2θ = 37.4°, rel. 519
2θ = 11.1°, rel. 492
2θ = 40.7°, rel. 414

Structural model:
```
data_Mg2AgBr
_chemical_formula_sum 'Mg4 Ag2 Br2'
_symmetry_space_group_name_H-M 'P 1'
_symmetry_Int_Tables_number 1
_cell_length_a 15.958
_cell_length_b 3.361
_cell_length_c 3.518
_cell_angle_alpha 90.00
_cell_angle_beta 90.73
_cell_angle_gamma 90.00
loop_
_symmetry_equiv_pos_as_xyz
'x,y,z'
loop_
_atom_site_label
_atom_site_fract_x
_atom_site_fract_y
_atom_site_fract_z
Mg1 0.000 0.000 0.000
Mg2 0.204 0.000 0.012
Mg3 0.500 0.500 0.000
Mg4 0.704 0.500 0.012
Ag1 0.097 0.500 0.508
Ag2 0.597 0.000 0.508
Br1 0.334 0.500 0.045
Br2 0.834 0.000 0.045
```

=====

[5]
Diffraction record for Na3MgAg3Br8. The powder X-ray diffraction pattern is calculated, not measured: it uses a cell relaxed with PBE and Cu Kα.
Kinematic intensities with the Lorentz-polarization factor, no thermal factor.

Principal peaks in the range 2θ from 10° to 90°, by intensity:
2θ = 30.3°, rel. 1000
2θ = 43.2°, rel. 522
2θ = 30.1°, rel. 512
2θ = 12.9°, rel. 459
2θ = 43.3°, rel. 358
2θ = 53.9°, rel. 178
2θ = 43.7°, rel. 177
2θ = 39.6°, rel. 108
2θ = 63.1°, rel. 103
2θ = 79.9°, rel. 101

Structural model:
```
data_Na3MgAg3Br8
_chemical_formula_sum 'Na3 Mg1 Ag3 Br8'
_symmetry_space_group_name_H-M 'P 1'
_symmetry_Int_Tables_number 1
_cell_length_a 8.360
_cell_length_b 8.360
_cell_length_c 8.374
_cell_angle_alpha 119.90
_cell_angle_beta 119.90
_cell_angle_gamma 59.46
loop_
_symmetry_equiv_pos_as_xyz
'x,y,z'
loop_
_atom_site_label
_atom_site_fract_x
_atom_site_fract_y
_atom_site_fract_z
Na1 0.000 0.000 0.000
Na2 0.000 0.500 0.000
Na3 0.500 0.000 0.000
Mg1 0.000 0.000 0.500
Ag1 0.000 0.500 0.500
Ag2 0.500 0.000 0.500
Ag3 0.500 0.500 0.500
Br1 0.230 0.230 0.725
Br2 0.233 0.765 0.727
Br3 0.235 0.767 0.273
Br4 0.252 0.252 0.260
Br5 0.748 0.748 0.740
Br6 0.765 0.233 0.727
Br7 0.767 0.235 0.273
Br8 0.770 0.770 0.275
```

=====

[6]
Diffraction record for MnAg4Br6. The powder X-ray diffraction pattern is calculated, not measured: it uses a cell relaxed with PBE and Cu Kα.
Kinematic intensities with the Lorentz-polarization factor, no thermal factor.

Principal peaks in the range 2θ from 10° to 90°, by intensity:
2θ = 27.9°, rel. 1000
2θ = 26.6°, rel. 712
2θ = 42.5°, rel. 524
2θ = 27.0°, rel. 492
2θ = 42.2°, rel. 462
2θ = 24.0°, rel. 439
2θ = 39.8°, rel. 439
2θ = 22.6°, rel. 413
2θ = 28.1°, rel. 334
2θ = 23.6°, rel. 331

Structural model:
```
data_MnAg4Br6
_chemical_formula_sum 'Mn2 Ag8 Br12'
_symmetry_space_group_name_H-M 'P 1'
_symmetry_Int_Tables_number 1
_cell_length_a 7.797
_cell_length_b 7.797
_cell_length_c 13.402
_cell_angle_alpha 105.73
_cell_angle_beta 105.73
_cell_angle_gamma 60.71
loop_
_symmetry_equiv_pos_as_xyz
'x,y,z'
loop_
_atom_site_label
_atom_site_fract_x
_atom_site_fract_y
_atom_site_fract_z
Mn1 0.234 0.766 0.500
Mn2 0.766 0.234 0.000
Ag1 0.168 0.374 0.246
Ag2 0.355 0.778 0.089
Ag3 0.374 0.168 0.746
Ag4 0.648 0.866 0.437
Ag5 0.778 0.355 0.589
Ag6 0.853 0.992 0.242
Ag7 0.866 0.648 0.937
Ag8 0.992 0.853 0.742
Br1 0.009 0.494 0.750
Br2 0.037 0.094 0.442
Br3 0.044 0.569 0.439
Br4 0.094 0.037 0.942
Br5 0.105 0.652 0.129
Br6 0.335 0.812 0.693
Br7 0.494 0.009 0.250
Br8 0.549 0.565 0.426
Br9 0.565 0.549 0.926
Br10 0.569 0.044 0.939
Br11 0.652 0.105 0.629
Br12 0.812 0.335 0.193
```